Record 1
KNbVGe2: theoretical XRD peak list (Cu Kα (weighted mean of Kα1 and Kα2)), based on the PBE geometry in Alexandria.
Kinematic intensities with the Lorentz-polarization factor, no thermal factor.

```
data_KNbVGe2
_chemical_formula_sum 'K1 Nb1 V1 Ge2'
_symmetry_space_group_name_H-M 'P 4/m m m'
_symmetry_Int_Tables_number 123
_symmetry_space_group_name_Hall '-P 4 2'
_cell_length_a 5.1601
_cell_length_b 5.1601
_cell_length_c 4.7107
_cell_angle_alpha 90.00
_cell_angle_beta 90.00
_cell_angle_gamma 90.00
loop_
_atom_site_label
_atom_site_type_symbol
_atom_site_fract_x
_atom_site_fract_y
_atom_site_fract_z
_atom_site_occupancy
K1 K 0.0000 0.0000 0.0000 1
Nb1 Nb 0.5000 0.5000 0.5000 1
V1 V 0.5000 0.5000 0.0000 1
Ge1 Ge 0.0000 0.5000 0.5000 1
```

Principal peaks in the range 2θ = 10–90°, sorted by position:
2θ = 17.18°, rel. 579; 2θ = 18.84°, rel. 482; 2θ = 25.60°, rel. 296; 2θ = 31.00°, rel. 517; 2θ = 34.77°, rel. 1000; 2θ = 38.21°, rel. 382; 2θ = 39.84°, rel. 296; 2θ = 49.99°, rel. 341; 2θ = 52.61°, rel. 582; 2θ = 64.62°, rel. 359; 2θ = 83.85°, rel. 144; 2θ = 85.90°, rel. 184

=====

Record 2
K2GeO2: theoretical XRD peak list (Cu Kα (weighted mean of Kα1 and Kα2)), based on the PBE geometry in Alexandria.
Kinematic intensities with the Lorentz-polarization factor, no thermal factor.

```
data_K2GeO2
_chemical_formula_sum 'K8 Ge4 O8'
_symmetry_space_group_name_H-M 'P 1 21/c 1'
_symmetry_Int_Tables_number 14
_cell_length_a 8.0512
_cell_length_b 9.4668
_cell_length_c 6.7787
_cell_angle_alpha 90.00
_cell_angle_beta 110.12
_cell_angle_gamma 90.00
loop_
_symmetry_equiv_pos_as_xyz
'x,y,z'
'-x,-y,-z'
'-x,y+1/2,-z+1/2'
'x,-y+1/2,z+1/2'
loop_
_atom_site_label
_atom_site_type_symbol
_atom_site_fract_x
_atom_site_fract_y
_atom_site_fract_z
_atom_site_occupancy
K1 K 0.0120 0.2462 0.0519 1
K2 K 0.4340 0.6726 0.5399 1
Ge1 Ge 0.3115 0.0213 0.4189 1
O1 O 0.2072 0.6361 0.7807 1
O2 O 0.4880 0.5494 0.1760 1
```

Principal peaks in the range 2θ = 10–90°, sorted by position:
2θ = 11.71°, rel. 490; 2θ = 16.78°, rel. 896; 2θ = 17.52°, rel. 1000; 2θ = 22.16°, rel. 611; 2θ = 28.04°, rel. 451; 2θ = 30.26°, rel. 597; 2θ = 31.65°, rel. 680; 2θ = 32.06°, rel. 331; 2θ = 32.57°, rel. 380; 2θ = 32.84°, rel. 323; 2θ = 37.11°, rel. 398; 2θ = 47.28°, rel. 316

=====

Record 3
K3GeO3: theoretical XRD peak list (Cu Kα (weighted mean of Kα1 and Kα2)), based on the PBE geometry in Alexandria.
Kinematic intensities with the Lorentz-polarization factor, no thermal factor.

```
data_K3GeO3
_chemical_formula_sum 'K24 Ge8 O24'
_symmetry_space_group_name_H-M 'C m c e'
_symmetry_Int_Tables_number 64
_symmetry_space_group_name_Hall '-C 2ac 2'
_cell_length_a 14.9840
_cell_length_b 9.5842
_cell_length_c 9.7807
_cell_angle_alpha 90.00
_cell_angle_beta 90.00
_cell_angle_gamma 90.00
loop_
_atom_site_label
_atom_site_type_symbol
_atom_site_fract_x
_atom_site_fract_y
_atom_site_fract_z
_atom_site_occupancy
K1 K 0.0000 0.2081 0.1512 1
K2 K 0.1733 0.1677 0.8765 1
Ge1 Ge 0.0926 0.0000 0.5000 1
O1 O 0.0000 0.0859 0.3986 1
O2 O 0.1509 0.1310 0.5879 1
```

Principal peaks in the range 2θ = 10–90°, sorted by position:
2θ = 14.22°, rel. 1000; 2θ = 18.14°, rel. 226; 2θ = 23.83°, rel. 287; 2θ = 26.03°, rel. 199; 2θ = 27.16°, rel. 294; 2θ = 29.55°, rel. 241; 2θ = 30.03°, rel. 409; 2θ = 32.62°, rel. 217; 2θ = 40.74°, rel. 150; 2θ = 41.46°, rel. 141; 2θ = 50.26°, rel. 151; 2θ = 52.36°, rel. 159

=====

Record 4
K6Ge2O7: theoretical XRD peak list (Cu Kα (weighted mean of Kα1 and Kα2)), based on the PBE geometry in Alexandria.
Kinematic intensities with the Lorentz-polarization factor, no thermal factor.

```
data_K6Ge2O7
_chemical_formula_sum 'K12 Ge4 O14'
_symmetry_space_group_name_H-M 'P 1 c 1'
_symmetry_Int_Tables_number 7
_cell_length_a 6.6221
_cell_length_b 9.2099
_cell_length_c 11.3300
_cell_angle_alpha 90.00
_cell_angle_beta 124.03
_cell_angle_gamma 90.00
loop_
_symmetry_equiv_pos_as_xyz
'x,y,z'
'x,-y,z+1/2'
loop_
_atom_site_label
_atom_site_type_symbol
_atom_site_fract_x
_atom_site_fract_y
_atom_site_fract_z
_atom_site_occupancy
K1 K 0.0000 0.0409 0.0000 1
K2 K 0.1927 0.2776 0.3193 1
K3 K 0.3533 0.1014 0.8532 1
K4 K 0.4519 0.3991 0.7034 1
K5 K 0.6118 0.2222 0.2371 1
K6 K 0.8047 0.4589 0.5564 1
Ge1 Ge 0.0886 0.3934 0.9086 1
Ge2 Ge 0.7163 0.1068 0.6479 1
O1 O 0.1583 0.3374 0.0768 1
O2 O 0.3519 0.4141 0.9055 1
O3 O 0.4537 0.0867 0.6519 1
O4 O 0.6455 0.1614 0.4791 1
O5 O 0.8943 0.4531 0.3440 1
O6 O 0.9025 0.2508 0.7774 1
O7 O 0.9112 0.0464 0.2134 1
```

Principal peaks in the range 2θ = 10–90°, sorted by position:
2θ = 16.49°, rel. 476; 2θ = 16.62°, rel. 327; 2θ = 18.83°, rel. 285; 2θ = 21.24°, rel. 208; 2θ = 27.12°, rel. 178; 2θ = 28.66°, rel. 347; 2θ = 29.97°, rel. 241; 2θ = 30.63°, rel. 1000; 2θ = 31.24°, rel. 442; 2θ = 33.47°, rel. 785; 2θ = 34.49°, rel. 448; 2θ = 37.33°, rel. 429

=====

- Number 1 is which compound?
  KNbVGe2

=====

- What is the formula in the third record?
  K3GeO3